This entry pairs a crystal structure of CsRbNa with its calculated XRD peak list. Radiation: Cu Kα X-rays. Structure: a DFT-relaxed cell (PBE, Alexandria).
Lines closer than 0.1° are merged.

Most intense lines, 5° ≤ 2θ ≤ 70°, by angle:
17.4°, I 72.5
24.7°, I 100.0
30.4°, I 24.7
35.2°, I 19.6
39.6°, I 35.8
43.5°, I 42.7
50.7°, I 13.5
54.0°, I 18.0
57.2°, I 18.8
69.0°, I 21.4

Atomic structure:
Cell lengths 7.2021, 7.2021, 7.2021 Å; angles 60.00, 60.00, 60.00 degrees
Sites, in units of the cell vectors:
Cs 0.0000 0.0000 0.0000
Rb 0.5000 0.5000 0.5000
Na 0.7500 0.7500 0.7500

This entry pairs a crystal structure of ZnPd4Se with its calculated XRD peak list. Radiation: Cu Kα X-rays. Structure: a DFT-relaxed cell (PBE, Alexandria).
Lines closer than 0.1° are merged.

Most intense lines, 5° ≤ 2θ ≤ 70°, by angle:
37.1°, I 100.0
38.4°, I 28.7
39.2°, I 56.7
40.1°, I 25.9
40.6°, I 75.1
41.1°, I 76.5
42.4°, I 16.4
43.5°, I 29.5
47.9°, I 16.2
55.7°, I 33.5

Atomic structure:
Cell lengths 6.9264, 3.2978, 16.6576 Å; angles 90.00, 90.00, 90.00 degrees
Sites, in units of the cell vectors:
Zn 0.1889 0.2500 0.1936
Zn 0.3111 0.7500 0.6936
Zn 0.6889 0.2500 0.3064
Zn 0.8111 0.7500 0.8064
Pd 0.0482 0.7500 0.9311
Pd 0.0606 0.2500 0.3381
Pd 0.1068 0.2500 0.7854
Pd 0.2142 0.2500 0.5780
Pd 0.2858 0.7500 0.0780
Pd 0.3932 0.7500 0.2854
Pd 0.4394 0.7500 0.8381
Pd 0.4518 0.2500 0.4311
Pd 0.5482 0.7500 0.5689
Pd 0.5606 0.2500 0.1619
Pd 0.6068 0.2500 0.7146
Pd 0.7142 0.2500 0.9220
Pd 0.7858 0.7500 0.4220
Pd 0.8932 0.7500 0.2146
Pd 0.9394 0.7500 0.6619
Pd 0.9518 0.2500 0.0689
Se 0.1820 0.7500 0.4430
Se 0.3180 0.2500 0.9430
Se 0.6820 0.7500 0.0570
Se 0.8180 0.2500 0.5570

This entry pairs a crystal structure of MgZnSe2 with its calculated XRD peak list. Radiation: Cu Kα X-rays. Structure: a DFT-relaxed cell (PBE, Alexandria).
Lines closer than 0.1° are merged.

Most intense lines, 5° ≤ 2θ ≤ 70°, by angle:
24.6°, I 40.1
24.8°, I 78.7
26.4°, I 72.4
28.0°, I 33.1
28.1°, I 65.7
36.5°, I 45.4
43.5°, I 67.0
43.7°, I 33.8
47.6°, I 100.0
51.6°, I 42.9

Atomic structure:
Cell lengths 4.1437, 7.2249, 6.7521 Å; angles 90.00, 90.00, 90.00 degrees
Sites, in units of the cell vectors:
Mg 0.0000 0.0866 0.0000
Mg 0.5000 0.9134 0.5000
Zn 0.0000 0.4198 0.4995
Zn 0.5000 0.5802 0.9995
Se 0.0000 0.0936 0.6173
Se 0.0000 0.4259 0.1288
Se 0.5000 0.5741 0.6288
Se 0.5000 0.9064 0.1173